The following is a simulated powder XRD pattern of BeZnCu2. It was derived from a GGA-PBE-relaxed structure, using a wavelength of 1.5418 Å.
Intensities are scaled so that the largest is 100.

Top 6 peaks for 10° ≤ 2θ ≤ 80°, by angle:
two_theta	I_rel
31.7	11
35.6	21
45.5	100
48.4	7
66.3	14
68.6	7

Structural model:
```
BeZnCu2
1.0
5.6416 0.0000 0.0000
0.0000 5.6416 0.0000
0.0000 0.0000 5.6416
Be Zn Cu
4 4 8
Direct
0.0000 0.0000 0.0000
0.0000 0.0000 0.5000
0.0000 0.5000 0.0000
0.5000 0.0000 0.0000
0.0000 0.5000 0.5000
0.5000 0.0000 0.5000
0.5000 0.5000 0.0000
0.5000 0.5000 0.5000
0.2329 0.2329 0.2329
0.2329 0.2329 0.7671
0.2329 0.7671 0.2329
0.2329 0.7671 0.7671
0.7671 0.2329 0.2329
0.7671 0.2329 0.7671
0.7671 0.7671 0.2329
0.7671 0.7671 0.7671
```

---

The following is a simulated powder XRD pattern of DyBe13. It was derived from a GGA-PBE-relaxed structure, using a wavelength of 1.5418 Å.
Intensities are scaled so that the largest is 100.

Top 6 peaks for 10° ≤ 2θ ≤ 80°, by angle:
two_theta	I_rel
17.4	91
24.7	100
30.4	44
39.6	71
43.6	60
69.1	28

Structural model:
```
DyBe13
1.0
0.0000 5.0890 5.0890
5.0890 0.0000 5.0890
5.0890 5.0890 0.0000
Dy Be
2 26
Direct
0.2500 0.2500 0.2500
0.7500 0.7500 0.7500
0.0000 0.0000 0.0000
0.0625 0.2904 0.7096
0.0625 0.7096 0.9375
0.0625 0.9375 0.2904
0.2096 0.4375 0.7904
0.2096 0.5625 0.4375
0.2096 0.7904 0.5625
0.2904 0.0625 0.9375
0.2904 0.7096 0.0625
0.2904 0.9375 0.7096
0.4375 0.2096 0.5625
0.4375 0.5625 0.7904
0.4375 0.7904 0.2096
0.5000 0.5000 0.5000
0.5625 0.2096 0.7904
0.5625 0.4375 0.2096
0.5625 0.7904 0.4375
0.7096 0.0625 0.2904
0.7096 0.2904 0.9375
0.7096 0.9375 0.0625
0.7904 0.2096 0.4375
0.7904 0.4375 0.5625
0.7904 0.5625 0.2096
0.9375 0.0625 0.7096
0.9375 0.2904 0.0625
0.9375 0.7096 0.2904
```

---

The following is a simulated powder XRD pattern of GdDyBe2Si2. It was derived from a GGA-PBE-relaxed structure, using a wavelength of 1.5418 Å.
Intensities are scaled so that the largest is 100.

Top 6 peaks for 10° ≤ 2θ ≤ 80°, by angle:
two_theta	I_rel
21.9	25
26.5	63
34.7	100
46.8	26
52.7	20
59.5	21

Structural model:
```
GdDyBe2Si2
1.0
3.8819 0.0000 0.0000
-1.9409 3.3618 0.0000
0.0000 0.0000 8.1096
Gd Dy Be Si
1 1 2 2
Direct
0.0000 0.0000 0.0000
0.0000 0.0000 0.5000
0.3333 0.6667 0.2518
0.6667 0.3333 0.7482
0.3333 0.6667 0.7475
0.6667 0.3333 0.2525
```